Starting from a DFT-relaxed cell (GGA+U, Alexandria), the X-ray diffraction stick pattern of VZnSiO5 was simulated for copper Kα.
Neutral-atom scattering factors, no anomalous dispersion.

Peak list (8 most intense, 10 to 90 degrees two-theta, in order of rising 2θ)
2θ (°)  Rel. int.
18.68  28
26.84  100
27.12  17
29.40  83
34.77  55
34.91  29
37.85  18
39.18  20

Structure:
a b c (Å): 5.2089 5.5474 7.2345
angles (deg): 106.75 107.14 100.97
Space group P-1 (No. 2)
Symmetry-distinct sites (fractional):
V  0.0000  0.0000  0.0000 [1 per cell]
V  0.0000  0.0000  0.5000 [1 per cell]
Zn  0.2739  0.6594  0.2779 [2 per cell]
Si  0.3149  0.6467  0.7557 [2 per cell]
O  0.0818  0.6531  0.8694 [2 per cell]
O  0.1009  0.9497  0.2702 [2 per cell]
O  0.2382  0.7691  0.5728 [2 per cell]
O  0.3368  0.3432  0.6642 [2 per cell]
O  0.3672  0.1903  0.0716 [2 per cell]